Starting from a crystal structure in Alexandria, relaxed with GGA-PBE, the X-ray diffraction stick pattern of MnAu was simulated for Cu Kα.
No peak broadening, texture or thermal motion is included.

Largest 8 diffraction maxima, low angle first, 2θ from 10° to 90°:
2θ = 19.5°, I = 23; 2θ = 24.4°, I = 33; 2θ = 30.5°, I = 29; 2θ = 37.6°, I = 100; 2θ = 38.8°, I = 48; 2θ = 40.4°, I = 37; 2θ = 43.3°, I = 69; 2θ = 65.5°, I = 25

Cell and atoms:
```
data_MnAu
_symmetry_space_group_name_H-M 'P 1'
_symmetry_Int_Tables_number 1
_cell_length_a 4.9810
_cell_length_b 4.9810
_cell_length_c 4.6539
_cell_angle_alpha 101.19
_cell_angle_beta 101.19
_cell_angle_gamma 36.07
loop_
_symmetry_equiv_pos_as_xyz
'x,y,z'
loop_
_atom_site_label
_atom_site_type_symbol
_atom_site_fract_x
_atom_site_fract_y
_atom_site_fract_z
Mn1 Mn 0.1217 0.1217 0.3463
Mn2 Mn 0.8783 0.8783 0.6537
Au1 Au 0.3776 0.3776 0.1584
Au2 Au 0.6224 0.6224 0.8416
```